(1)
# TmThScTa
Computed X-ray diffraction stick pattern, Cu Kα (weighted mean of Kα1 and Kα2). Input: a structure optimized by DFT (PBE).

Main lines, low angle first (2θ = 5–70°):
d/Å	I/Imax
4.248	12
3.679	9
2.601	100
2.219	7
1.840	18
1.502	38

Structural model:
Lattice parameters (Å, degrees): 7.358 7.358 7.358 90.00 90.00 90.00
Positions (direct):
Tm 0.000 0.000 0.000
Tm 0.000 0.500 0.500
Tm 0.500 0.000 0.500
Tm 0.500 0.500 0.000
Th 0.000 0.000 0.500
Th 0.000 0.500 0.000
Th 0.500 0.000 0.000
Th 0.500 0.500 0.500
Sc 0.250 0.250 0.750
Sc 0.250 0.750 0.250
Sc 0.750 0.250 0.250
Sc 0.750 0.750 0.750
Ta 0.250 0.250 0.250
Ta 0.250 0.750 0.750
Ta 0.750 0.250 0.750
Ta 0.750 0.750 0.250

=====

(2)
# K2NdCl4
Computed X-ray diffraction stick pattern, Cu Kα (weighted mean of Kα1 and Kα2). Input: a structure optimized by DFT (PBE).

Main lines, low angle first (2θ = 5–70°):
d/Å	I/Imax
8.116	100
5.231	91
3.907	75
3.866	57
2.799	56
2.763	80

Structural model:
Lattice parameters (Å, degrees): 5.526 5.526 16.233 90.00 90.00 90.00
Positions (direct):
K 0.000 0.000 0.140
K 0.000 0.000 0.860
K 0.500 0.500 0.360
K 0.500 0.500 0.640
Nd 0.000 0.000 0.500
Nd 0.500 0.500 0.000
Cl 0.000 0.000 0.328
Cl 0.000 0.000 0.672
Cl 0.000 0.500 0.000
Cl 0.000 0.500 0.500
Cl 0.500 0.000 0.000
Cl 0.500 0.000 0.500
Cl 0.500 0.500 0.172
Cl 0.500 0.500 0.828

=====

(3)
# CsZn2Au
Computed X-ray diffraction stick pattern, Cu Kα (weighted mean of Kα1 and Kα2). Input: a structure optimized by DFT (PBE).

Main lines, low angle first (2θ = 5–70°):
d/Å	I/Imax
5.519	33
3.702	100
2.927	27
2.390	31
2.297	28
1.851	30

Structural model:
Lattice parameters (Å, degrees): 5.854 5.854 16.562 90.00 90.00 90.00
Positions (direct):
Cs 0.000 0.250 0.375
Cs 0.000 0.750 0.625
Cs 0.500 0.250 0.125
Cs 0.500 0.750 0.875
Zn 0.000 0.000 0.000
Zn 0.000 0.500 0.000
Zn 0.250 0.250 0.750
Zn 0.250 0.750 0.250
Zn 0.500 0.000 0.500
Zn 0.500 0.500 0.500
Zn 0.750 0.250 0.750
Zn 0.750 0.750 0.250
Au 0.000 0.250 0.875
Au 0.000 0.750 0.125
Au 0.500 0.250 0.625
Au 0.500 0.750 0.375

=====

(4)
# Ce4CdGa
Computed X-ray diffraction stick pattern, Cu Kα (weighted mean of Kα1 and Kα2). Input: a structure optimized by DFT (PBE).

Main lines, low angle first (2θ = 5–70°):
d/Å	I/Imax
2.910	100
2.862	70
2.614	60
2.449	30
2.431	41
2.304	39

Structural model:
Lattice parameters (Å, degrees): 7.828 7.828 5.504 101.59 101.59 108.01
Positions (direct):
Ce 0.057 0.660 0.881
Ce 0.167 0.391 0.621
Ce 0.340 0.943 0.619
Ce 0.391 0.167 0.121
Ce 0.609 0.833 0.879
Ce 0.660 0.057 0.381
Ce 0.833 0.609 0.379
Ce 0.943 0.340 0.119
Cd 0.404 0.596 0.250
Cd 0.596 0.404 0.750
Ga 0.011 0.989 0.250
Ga 0.989 0.011 0.750

=====

(5)
# Ce2HoTe5
Computed X-ray diffraction stick pattern, Cu Kα (weighted mean of Kα1 and Kα2). Input: a structure optimized by DFT (PBE).

Main lines, low angle first (2θ = 5–70°):
d/Å	I/Imax
3.763	38
3.347	35
3.066	100
2.676	39
2.646	67
1.881	49

Structural model:
Lattice parameters (Å, degrees): 7.484 7.484 5.351 90.00 90.00 90.00
Positions (direct):
Ce 0.000 0.500 0.000
Ce 0.500 0.000 0.000
Ho 0.000 0.000 0.500
Te 0.000 0.000 0.000
Te 0.279 0.279 0.500
Te 0.279 0.721 0.500
Te 0.721 0.279 0.500
Te 0.721 0.721 0.500

=====

(6)
# HfPCCl2
Computed X-ray diffraction stick pattern, Cu Kα (weighted mean of Kα1 and Kα2). Input: a structure optimized by DFT (PBE).

Main lines, low angle first (2θ = 5–70°):
d/Å	I/Imax
5.178	64
4.885	100
3.553	58
2.442	37
2.288	28
2.209	28

Structural model:
Lattice parameters (Å, degrees): 4.885 4.885 5.178 90.00 90.00 90.00
Positions (direct):
Hf 0.000 0.000 0.000
P 0.000 0.000 0.500
C 0.500 0.500 0.500
Cl 0.000 0.500 0.000
Cl 0.500 0.000 0.000

=====

(7)
# Dy15Ho4In
Computed X-ray diffraction stick pattern, Cu Kα (weighted mean of Kα1 and Kα2). Input: a structure optimized by DFT (PBE).

Main lines, low angle first (2θ = 5–70°):
d/Å	I/Imax
2.871	100
2.506	17
2.477	33
1.762	24
1.508	14
1.495	28

Structural model:
Lattice parameters (Å, degrees): 4.954 4.954 25.063 90.00 90.00 90.00
Positions (direct):
Dy 0.000 0.000 0.000
Dy 0.000 0.000 0.196
Dy 0.000 0.000 0.399
Dy 0.000 0.000 0.601
Dy 0.000 0.000 0.804
Dy 0.000 0.500 0.097
Dy 0.000 0.500 0.298
Dy 0.000 0.500 0.500
Dy 0.000 0.500 0.702
Dy 0.000 0.500 0.903
Dy 0.500 0.000 0.097
Dy 0.500 0.000 0.298
Dy 0.500 0.000 0.500
Dy 0.500 0.000 0.702
Dy 0.500 0.000 0.903
Ho 0.500 0.500 0.198
Ho 0.500 0.500 0.399
Ho 0.500 0.500 0.601
Ho 0.500 0.500 0.802
In 0.500 0.500 0.000

=====

(8)
# Er2Tm5Zr
Computed X-ray diffraction stick pattern, Cu Kα (weighted mean of Kα1 and Kα2). Input: a structure optimized by DFT (PBE).

Main lines, low angle first (2θ = 5–70°):
d/Å	I/Imax
2.991	49
2.859	20
2.715	70
2.673	100
2.569	36
1.559	20

Structural model:
Lattice parameters (Å, degrees): 6.425 6.425 15.063 90.00 90.00 130.02
Positions (direct):
Er 0.221 0.779 0.634
Er 0.221 0.779 0.866
Er 0.779 0.221 0.134
Er 0.779 0.221 0.366
Tm 0.081 0.919 0.100
Tm 0.081 0.919 0.400
Tm 0.379 0.621 0.051
Tm 0.379 0.621 0.449
Tm 0.463 0.537 0.750
Tm 0.537 0.463 0.250
Tm 0.621 0.379 0.551
Tm 0.621 0.379 0.949
Tm 0.919 0.081 0.600
Tm 0.919 0.081 0.900
Zr 0.272 0.728 0.250
Zr 0.728 0.272 0.750